(1)
Diffraction record for NaSrSnBiO6. The powder diffraction line list is simulated, not measured: it uses a structure optimized by DFT (PBE) and Cu Kα.

Top 10 peaks for 2θ from 10° to 90°, low angle first:
18.47°, I 14
21.36°, I 45
30.39°, I 100
43.52°, I 33
48.97°, I 20
54.01°, I 42
63.24°, I 21
67.57°, I 10
71.77°, I 19
87.82°, I 23

```
NaSrSnBiO6
1.0
0.0000 4.1590 4.1590
4.1590 0.0000 4.1590
4.1590 4.1590 0.0000
Na Sr Sn Bi O
1 1 1 1 6
Direct
0.0000 0.0000 0.0000
0.5000 0.5000 0.5000
0.2500 0.2500 0.2500
0.7500 0.7500 0.7500
0.0029 0.0029 0.4971
0.0029 0.4971 0.0029
0.0029 0.4971 0.4971
0.4971 0.0029 0.0029
0.4971 0.0029 0.4971
0.4971 0.4971 0.0029
```


(2)
Diffraction record for NaSrTiBiO6. The powder diffraction line list is simulated, not measured: it uses a structure optimized by DFT (PBE) and Cu Kα.

Top 10 peaks for 2θ from 10° to 90°, low angle first:
18.92°, I 52
21.88°, I 34
31.13°, I 100
36.68°, I 35
44.61°, I 35
48.86°, I 17
50.21°, I 14
55.39°, I 40
64.92°, I 21
73.75°, I 18

```
NaSrTiBiO6
1.0
0.0000 4.0627 4.0627
4.0627 0.0000 4.0627
4.0627 4.0627 0.0000
Na Sr Ti Bi O
1 1 1 1 6
Direct
0.0000 0.0000 0.0000
0.5000 0.5000 0.5000
0.2500 0.2500 0.2500
0.7500 0.7500 0.7500
0.0087 0.0087 0.4913
0.0087 0.4913 0.0087
0.0087 0.4913 0.4913
0.4913 0.0087 0.0087
0.4913 0.0087 0.4913
0.4913 0.4913 0.0087
```


(3)
Diffraction record for NaTa4Bi5O18. The powder diffraction line list is simulated, not measured: it uses a structure optimized by DFT (PBE) and Cu Kα.

Top 10 peaks for 2θ from 10° to 90°, low angle first:
28.86°, I 100
32.26°, I 19
32.54°, I 19
35.45°, I 10
46.48°, I 18
48.68°, I 10
48.87°, I 10
52.49°, I 9
55.45°, I 14
55.82°, I 15

```
NaTa4Bi5O18
1.0
2.7516 -12.6624 0.0000
2.7516 12.6624 0.0000
-0.0034 0.0000 5.5503
Na Ta Bi O
1 4 5 18
Direct
0.0000 0.0000 0.0000
0.0833 0.9165 0.4670
0.4166 0.5844 0.9739
0.5844 0.4166 0.9739
0.9165 0.0833 0.4670
0.1736 0.7744 0.0222
0.3322 0.7312 0.5224
0.4878 0.4878 0.5233
0.7312 0.3322 0.5224
0.7744 0.1736 0.0222
0.0128 0.5106 0.7527
0.0790 0.0790 0.4442
0.0915 0.7777 0.4580
0.1197 0.2951 0.1621
0.2188 0.3903 0.6561
0.2951 0.1197 0.1621
0.3903 0.2188 0.6561
0.4154 0.7292 0.9555
0.4376 0.4376 0.9276
0.4920 0.9941 0.2526
0.5106 0.0128 0.7527
0.6477 0.7801 0.2429
0.7198 0.8512 0.7357
0.7292 0.4154 0.9555
0.7777 0.0915 0.4580
0.7801 0.6477 0.2429
0.8512 0.7198 0.7357
0.9941 0.4920 0.2526
```